Diffraction record for Pr2In5AgPd2. The X-ray powder pattern is simulated, not measured: it uses DFT lattice parameters and positions (PBE) and CuKα.
Peak positions follow from Bragg's law for the DFT cell and can differ from measured ones.

Peak list (6 most intense, 2θ = 5–70°, in order of rising 2θ)
- 2.811 Å, I = 31
- 2.622 Å, I = 100
- 2.489 Å, I = 46
- 2.397 Å, I = 49
- 2.223 Å, I = 47
- 1.658 Å, I = 26

Structure:
abc: 10.264 10.264 4.446
angles: 90.00 90.00 90.00
Space group P4/mbm (No. 127)
Symmetry-distinct sites (fractional):
Pr  0.181  0.319  0.000 [4 per cell]
In  0.000  0.500  0.500 [2 per cell]
In  0.061  0.794  0.500 [8 per cell]
Ag  0.000  0.000  0.000 [2 per cell]
Pd  0.116  0.616  0.000 [4 per cell]

Diffraction record for ScInAgPd. The X-ray powder pattern is simulated, not measured: it uses DFT lattice parameters and positions (PBE) and CuKα.
Peak positions follow from Bragg's law for the DFT cell and can differ from measured ones.

Peak list (6 most intense, 2θ = 5–70°, in order of rising 2θ)
- 3.860 Å, I = 8
- 3.342 Å, I = 3
- 2.363 Å, I = 100
- 2.016 Å, I = 5
- 1.671 Å, I = 17
- 1.365 Å, I = 33

Structure:
abc: 6.685 6.685 6.685
angles: 90.00 90.00 90.00
Space group F-43m (No. 216)
Symmetry-distinct sites (fractional):
Sc  0.000  0.000  0.000 [4 per cell]
In  0.000  0.000  0.500 [4 per cell]
Ag  0.250  0.250  0.750 [4 per cell]
Pd  0.250  0.250  0.250 [4 per cell]